[1]
For Ac6NiOsPd2, a structure optimized by DFT (GGA-PBE) gives the simulated PXRD pattern in this record (Cu Kα, 1.54184 Å).

Cell and atoms:
Cell: 7.5628 7.5666 8.2474 Å, 90.08 117.28 119.91°
Space group P1 (No. 1)
Unique sites:
1 Ac 0.0000 0.0000 0.0000 [1 per cell]
2 Ac 0.0009 0.1557 0.5063 [1 per cell]
3 Ac 0.3541 0.6508 0.0001 [1 per cell]
4 Ac 0.3665 0.8615 0.5064 [1 per cell]
5 Ac 0.7038 0.3545 0.9996 [1 per cell]
6 Ac 0.7065 0.4962 0.5068 [1 per cell]
7 Ni 0.8606 0.7553 0.2612 [1 per cell]
8 Os 0.8635 0.2570 0.7653 [1 per cell]
9 Pd 0.5044 0.5780 0.7274 [1 per cell]
10 Pd 0.5056 0.0787 0.2283 [1 per cell]

The 6 most intense peaks (2θ = 10–90°), by angle:
2θ = 26.78°, rel. 100.0, hkl -2 1 2
2θ = 34.93°, rel. 48.6, hkl 1 1 1
2θ = 41.32°, rel. 37.6, hkl 3 0 -2
2θ = 45.70°, rel. 24.6, hkl 2 -1 2
2θ = 49.93°, rel. 17.3, hkl 2 2 -3
2θ = 68.75°, rel. 15.9, hkl -3 3 5

---

[2]
For Ac3Ni7P4, a structure optimized by DFT (GGA-PBE) gives the simulated PXRD pattern in this record (Cu Kα, 1.54184 Å).

Cell and atoms:
Cell: 15.3448 3.9531 10.0745 Å, 90.00 129.24 90.00°
Space group C2/m (No. 12)
Unique sites:
1 Ac 0.0000 0.0000 0.0000 [2 per cell]
2 Ac 0.1947 0.5000 0.6994 [4 per cell]
3 Ni 0.0000 0.0000 0.5000 [2 per cell]
4 Ni 0.0015 0.5000 0.2814 [4 per cell]
5 Ni 0.1381 0.0000 0.8688 [4 per cell]
6 Ni 0.1989 0.5000 0.4018 [4 per cell]
7 P 0.1027 0.0000 0.3938 [4 per cell]
8 P 0.1624 0.5000 0.9953 [4 per cell]

The 6 most intense peaks (2θ = 10–90°), by angle:
2θ = 24.19°, rel. 100.0, hkl 1 1 -1
2θ = 31.98°, rel. 61.2, hkl 3 1 0
2θ = 35.07°, rel. 89.2, hkl 3 1 -3
2θ = 35.66°, rel. 68.7, hkl 4 0 -4
2θ = 36.39°, rel. 74.8, hkl 1 1 2
2θ = 37.10°, rel. 90.6, hkl 5 1 -2

---

[3]
For AcNiP, a structure optimized by DFT (GGA-PBE) gives the simulated PXRD pattern in this record (Cu Kα, 1.54184 Å).

Cell and atoms:
Cell: 6.0840 6.0633 7.4818 Å, 90.00 115.50 90.00°
Space group P2_1/c (No. 14)
Unique sites:
1 Ac 0.1844 0.1325 0.3598 [4 per cell]
2 Ni 0.4197 0.5957 0.3328 [4 per cell]
3 P 0.2860 0.6774 0.5713 [4 per cell]

The 6 most intense peaks (2θ = 10–90°), by angle:
2θ = 21.84°, rel. 60.9, hkl 1 1 0
2θ = 24.28°, rel. 85.0, hkl 1 0 -2
2θ = 29.00°, rel. 68.4, hkl 1 1 1
2θ = 32.37°, rel. 100.0, hkl 0 2 1
2θ = 32.95°, rel. 75.7, hkl 2 1 -1
2θ = 33.61°, rel. 71.2, hkl 1 2 -1

---

[4]
For Ac2PaNiS6, a structure optimized by DFT (GGA-PBE) gives the simulated PXRD pattern in this record (Cu Kα, 1.54184 Å).

Cell and atoms:
Cell: 6.6868 6.6868 5.9886 Å, 90.00 90.00 120.00°
Space group P-3m1 (No. 164)
Unique sites:
1 Ac 0.3333 0.6667 0.1875 [2 per cell]
2 Pa 0.0000 0.0000 0.5000 [1 per cell]
3 Ni 0.0000 0.0000 0.0000 [1 per cell]
4 S 0.1745 0.3491 0.7748 [6 per cell]

The 6 most intense peaks (2θ = 10–90°), by angle:
2θ = 21.34°, rel. 100.0, hkl 1 0 1
2θ = 26.66°, rel. 94.2, hkl 1 1 0
2θ = 33.70°, rel. 57.5, hkl 0 1 2
2θ = 34.40°, rel. 75.5, hkl 0 2 1
2θ = 43.48°, rel. 45.8, hkl 2 0 2
2θ = 44.05°, rel. 35.1, hkl 2 1 1